Record 1
This entry pairs a crystal structure of Ac3Au with its calculated powder XRD pattern. Radiation: copper Kα. Structure: a GGA-PBE-relaxed structure.

Atomic structure:
abc: 5.2444 5.2444 5.2444
angles: 90.00 90.00 90.00
Sites, in units of the cell vectors:
Ac1 0.0000 0.0000 0.5000
Ac2 0.0000 0.5000 0.0000
Ac3 0.5000 0.0000 0.0000
Au1 0.5000 0.5000 0.5000

Main lines, low angle first (15 to 90 degrees two-theta):
| 2θ (°) | Rel. int. |
| --- | --- |
| 29.50 | 100.0 |
| 34.19 | 51.3 |
| 49.14 | 37.8 |
| 58.36 | 45.7 |
| 61.22 | 13.2 |
| 72.03 | 6.2 |
| 79.70 | 19.0 |
| 82.20 | 17.7 |

---

Record 2
This entry pairs a crystal structure of Fe5SiC with its calculated powder XRD pattern. Radiation: copper Kα. Structure: a GGA-PBE-relaxed structure.

Atomic structure:
abc: 6.3556 6.3556 7.4139
angles: 90.00 90.00 77.32
Sites, in units of the cell vectors:
Fe1 0.0118 0.6936 0.3789
Fe2 0.0137 0.6901 0.0000
Fe3 0.0333 0.9667 0.6813
Fe4 0.1927 0.5657 0.6911
Fe5 0.3064 0.9882 0.3789
Fe6 0.3099 0.9863 0.0000
Fe7 0.3479 0.6521 0.1899
Fe8 0.3731 0.3775 0.4402
Fe9 0.3775 0.3731 0.9402
Fe10 0.4343 0.8073 0.6911
Fe11 0.5657 0.1927 0.1911
Fe12 0.6225 0.6269 0.4402
Fe13 0.6269 0.6225 0.9402
Fe14 0.6521 0.3479 0.6899
Fe15 0.6901 0.0137 0.5000
Fe16 0.6936 0.0118 0.8789
Fe17 0.8073 0.4343 0.1911
Fe18 0.9667 0.0333 0.1813
Fe19 0.9863 0.3099 0.5000
Fe20 0.9882 0.3064 0.8789
Si1 0.1735 0.3211 0.1895
Si2 0.3211 0.1735 0.6895
Si3 0.6789 0.8265 0.1895
Si4 0.8265 0.6789 0.6895
C1 0.3061 0.6939 0.4787
C2 0.3113 0.6887 0.9041
C3 0.6887 0.3113 0.4041
C4 0.6939 0.3061 0.9787

Main lines, low angle first (15 to 90 degrees two-theta):
| 2θ (°) | Rel. int. |
| --- | --- |
| 39.24 | 19.7 |
| 42.97 | 100.0 |
| 43.12 | 22.3 |
| 43.80 | 44.8 |
| 43.91 | 32.6 |
| 44.77 | 50.1 |
| 47.34 | 65.2 |
| 49.16 | 23.4 |
| 49.83 | 22.8 |
| 50.56 | 23.0 |

---

Record 3
This entry pairs a crystal structure of NaSm2Se3 with its calculated powder XRD pattern. Radiation: copper Kα. Structure: a GGA-PBE-relaxed structure.

Atomic structure:
abc: 7.2449 7.2449 7.2495
angles: 99.74 99.74 119.42
Sites, in units of the cell vectors:
Na1 0.0831 0.9169 0.7500
Na2 0.9169 0.0831 0.2500
Sm1 0.2494 0.7506 0.2500
Sm2 0.4167 0.5833 0.7500
Sm3 0.5833 0.4167 0.2500
Sm4 0.7506 0.2494 0.7500
Se1 0.0000 0.5000 0.5000
Se2 0.1687 0.3368 0.0017
Se3 0.3368 0.1687 0.5017
Se4 0.5000 0.0000 0.0000
Se5 0.6632 0.8313 0.4983
Se6 0.8313 0.6632 0.9983

Main lines, low angle first (15 to 90 degrees two-theta):
| 2θ (°) | Rel. int. |
| --- | --- |
| 30.05 | 50.7 |
| 30.21 | 100.0 |
| 43.00 | 37.7 |
| 43.12 | 18.7 |
| 43.27 | 37.1 |
| 43.39 | 18.4 |
| 53.68 | 29.3 |
| 71.12 | 16.8 |
| 71.44 | 16.5 |
| 79.34 | 15.5 |

---

Record 4
This entry pairs a crystal structure of HoAl2 with its calculated powder XRD pattern. Radiation: copper Kα. Structure: a GGA-PBE-relaxed structure.

Atomic structure:
abc: 5.5461 5.5461 5.5461
angles: 60.00 60.00 60.00
Sites, in units of the cell vectors:
Ho1 0.1250 0.1250 0.1250
Ho2 0.8750 0.8750 0.8750
Al1 0.0000 0.5000 0.5000
Al2 0.5000 0.0000 0.5000
Al3 0.5000 0.5000 0.0000
Al4 0.5000 0.5000 0.5000

Main lines, low angle first (15 to 90 degrees two-theta):
| 2θ (°) | Rel. int. |
| --- | --- |
| 19.60 | 64.5 |
| 32.28 | 100.0 |
| 38.05 | 97.9 |
| 50.74 | 16.8 |
| 57.57 | 38.8 |
| 61.42 | 32.2 |
| 67.56 | 21.1 |
| 71.11 | 12.3 |
| 76.87 | 16.7 |
| 80.26 | 11.3 |

---

Record 5
This entry pairs a crystal structure of Ho2B6Rh with its calculated powder XRD pattern. Radiation: copper Kα. Structure: a GGA-PBE-relaxed structure.

Atomic structure:
abc: 9.1716 11.4925 3.6562
angles: 90.00 90.00 90.00
Sites, in units of the cell vectors:
Ho1 0.0551 0.1261 0.0000
Ho2 0.1773 0.4132 0.0000
Ho3 0.3227 0.9132 0.0000
Ho4 0.4449 0.6261 0.0000
Ho5 0.5551 0.3739 0.0000
Ho6 0.6773 0.0868 0.0000
Ho7 0.8227 0.5868 0.0000
Ho8 0.9449 0.8739 0.0000
B1 0.0164 0.2879 0.5000
B2 0.0534 0.5662 0.5000
B3 0.1113 0.9695 0.5000
B4 0.1338 0.8155 0.5000
B5 0.2054 0.2347 0.5000
B6 0.2498 0.0793 0.5000
B7 0.2502 0.5793 0.5000
B8 0.2946 0.7347 0.5000
B9 0.3662 0.3155 0.5000
B10 0.3887 0.4695 0.5000
B11 0.4466 0.0662 0.5000
B12 0.4836 0.7879 0.5000
B13 0.5164 0.2121 0.5000
B14 0.5534 0.9338 0.5000
B15 0.6113 0.5305 0.5000
B16 0.6338 0.6845 0.5000
B17 0.7054 0.2653 0.5000
B18 0.7498 0.4207 0.5000
B19 0.7502 0.9207 0.5000
B20 0.7946 0.7653 0.5000
B21 0.8662 0.1845 0.5000
B22 0.8887 0.0305 0.5000
B23 0.9466 0.4338 0.5000
B24 0.9836 0.7121 0.5000
Rh1 0.1398 0.6783 0.0000
Rh2 0.3602 0.1783 0.0000
Rh3 0.6398 0.8217 0.0000
Rh4 0.8602 0.3217 0.0000

Main lines, low angle first (15 to 90 degrees two-theta):
| 2θ (°) | Rel. int. |
| --- | --- |
| 24.34 | 100.0 |
| 30.25 | 40.0 |
| 30.40 | 35.9 |
| 31.13 | 27.0 |
| 33.19 | 25.5 |
| 39.21 | 52.1 |
| 39.32 | 44.5 |
| 39.91 | 33.4 |
| 41.15 | 31.3 |
| 41.59 | 33.0 |

---

Record 6
This entry pairs a crystal structure of HfGaAu with its calculated powder XRD pattern. Radiation: copper Kα. Structure: a GGA-PBE-relaxed structure.

Atomic structure:
abc: 4.3733 4.3733 6.7108
angles: 90.00 90.00 120.00
Sites, in units of the cell vectors:
Hf1 0.0000 0.0000 0.0000
Hf2 0.0000 0.0000 0.5000
Ga1 0.6667 0.3333 0.2110
Ga2 0.6667 0.3333 0.7890
Au1 0.3333 0.6667 0.2864
Au2 0.3333 0.6667 0.7136

Main lines, low angle first (15 to 90 degrees two-theta):
| 2θ (°) | Rel. int. |
| --- | --- |
| 23.49 | 19.2 |
| 27.03 | 6.6 |
| 35.75 | 100.0 |
| 41.29 | 69.0 |
| 47.19 | 11.5 |
| 55.74 | 28.2 |
| 70.79 | 16.1 |
| 71.68 | 26.9 |
| 75.27 | 11.9 |
| 89.68 | 8.0 |

---

Record 7
This entry pairs a crystal structure of Ba2Cu2O5 with its calculated powder XRD pattern. Radiation: copper Kα. Structure: a GGA-PBE-relaxed structure.

Atomic structure:
abc: 11.5434 4.1385 13.7648
angles: 90.00 90.00 90.00
Sites, in units of the cell vectors:
Ba1 0.0543 0.2417 0.0000
Ba2 0.1941 0.2410 0.3168
Ba3 0.3059 0.7410 0.8168
Ba4 0.4457 0.7417 0.5000
Ba5 0.5543 0.2583 0.0000
Ba6 0.6941 0.2590 0.3168
Ba7 0.8059 0.7590 0.8168
Ba8 0.9457 0.7583 0.5000
Cu1 0.0186 0.2656 0.7041
Cu2 0.2345 0.2286 0.6108
Cu3 0.2655 0.7286 0.1108
Cu4 0.4814 0.7656 0.2041
Cu5 0.5186 0.2344 0.7041
Cu6 0.7345 0.2714 0.6108
Cu7 0.7655 0.7714 0.1108
Cu8 0.9814 0.7344 0.2041
O1 0.0359 0.7745 0.3290
O2 0.0798 0.2693 0.5768
O3 0.1241 0.5937 0.1596
O4 0.1731 0.2260 0.7374
O5 0.2095 0.7568 0.9861
O6 0.2905 0.2568 0.4861
O7 0.3269 0.7260 0.2374
O8 0.3759 0.0937 0.6596
O9 0.4202 0.7693 0.0768
O10 0.4641 0.2745 0.8290
O11 0.5359 0.7255 0.3290
O12 0.5798 0.2307 0.5768
O13 0.6241 0.9063 0.1596
O14 0.6731 0.2740 0.7374
O15 0.7095 0.7432 0.9861
O16 0.7905 0.2432 0.4861
O17 0.8269 0.7740 0.2374
O18 0.8759 0.4063 0.6596
O19 0.9202 0.7307 0.0768
O20 0.9641 0.2255 0.8290

Main lines, low angle first (15 to 90 degrees two-theta):
| 2θ (°) | Rel. int. |
| --- | --- |
| 24.79 | 42.4 |
| 26.50 | 42.0 |
| 27.30 | 100.0 |
| 29.06 | 87.4 |
| 30.24 | 39.7 |
| 31.68 | 24.7 |
| 40.29 | 42.6 |
| 43.75 | 27.1 |
| 46.57 | 26.3 |
| 54.05 | 36.9 |

---

Record 8
This entry pairs a crystal structure of Ce2Ga9Ir3 with its calculated powder XRD pattern. Radiation: copper Kα. Structure: a GGA-PBE-relaxed structure.

Atomic structure:
abc: 7.6900 7.6900 9.4926
angles: 90.00 90.00 60.19
Sites, in units of the cell vectors:
Ce1 0.0028 0.6683 0.7500
Ce2 0.3317 0.9972 0.7500
Ce3 0.6683 0.0028 0.2500
Ce4 0.9972 0.3317 0.2500
Ga1 0.0010 0.6658 0.0792
Ga2 0.0010 0.6658 0.4208
Ga3 0.1290 0.8710 0.2500
Ga4 0.3338 0.6662 0.5642
Ga5 0.3338 0.6662 0.9358
Ga6 0.3342 0.9990 0.0792
Ga7 0.3342 0.9990 0.4208
Ga8 0.3391 0.4560 0.2500
Ga9 0.4560 0.3391 0.7500
Ga10 0.5440 0.6609 0.2500
Ga11 0.6609 0.5440 0.7500
Ga12 0.6658 0.0010 0.5792
Ga13 0.6658 0.0010 0.9208
Ga14 0.6662 0.3338 0.0642
Ga15 0.6662 0.3338 0.4358
Ga16 0.8710 0.1290 0.7500
Ga17 0.9990 0.3342 0.5792
Ga18 0.9990 0.3342 0.9208
Ir1 0.0000 0.0000 0.0000
Ir2 0.0000 0.0000 0.5000
Ir3 0.3284 0.3284 0.0000
Ir4 0.3284 0.3284 0.5000
Ir5 0.6716 0.6716 0.0000
Ir6 0.6716 0.6716 0.5000

Main lines, low angle first (15 to 90 degrees two-theta):
| 2θ (°) | Rel. int. |
| --- | --- |
| 29.89 | 87.1 |
| 36.77 | 94.7 |
| 37.91 | 30.7 |
| 40.55 | 100.0 |
| 40.66 | 55.0 |
| 44.87 | 45.6 |
| 45.01 | 29.0 |
| 51.27 | 25.4 |
| 56.76 | 30.7 |
| 63.58 | 29.9 |